1.
Starting from the GGA-PBE geometry in Alexandria, the powder XRD pattern of LaCeY4 was computed for copper Kα.
Lines closer than 0.1° are merged.

Atomic structure:
Cell: 11.9113 3.5852 10.2833 Å, 90.00 115.63 90.00°
Space group C2 (No. 5)
Symmetry-distinct sites (fractional):
La 0.0000 0.0000 0.0000 [2 per cell]
Ce 0.0000 0.0027 0.5000 [2 per cell]
Y 0.1664 0.5028 0.8277 [4 per cell]
Y 0.1675 0.5015 0.3384 [4 per cell]

The 6 most intense peaks (10 to 90 degrees two-theta), low angle first:
hkl	2theta	d_spacing	I_rel
2 0 2	30.41	2.939	1000
2 0 -4	34.90	2.571	171
3 1 0	35.44	2.533	331
5 1 -4	50.59	1.804	234
6 0 -6	59.82	1.546	138
2 2 2	60.53	1.530	272

2.
Starting from the GGA-PBE geometry in Alexandria, the powder XRD pattern of La6CeY8 was computed for copper Kα.
Lines closer than 0.1° are merged.

Atomic structure:
Cell: 9.1462 9.1462 21.4061 Å, 90.00 90.00 120.00°
Space group R-3 (No. 148, hexagonal axes)
Symmetry-distinct sites (fractional):
La 0.0531 0.2512 0.2118 [18 per cell]
Ce 0.0000 0.0000 0.5000 [3 per cell]
Y 0.0000 0.0000 0.0773 [6 per cell]
Y 0.0812 0.5783 0.3049 [18 per cell]

The 6 most intense peaks (10 to 90 degrees two-theta), low angle first:
hkl	2theta	d_spacing	I_rel
3 -1 1	30.14	2.965	678
2 0 5	30.75	2.907	728
3 -2 2	31.02	2.883	1000
1 0 7	31.36	2.853	551
1 1 6	31.81	2.813	332
5 -1 3	54.63	1.680	259

3.
Starting from the GGA-PBE geometry in Alexandria, the powder XRD pattern of La8CeY4 was computed for copper Kα.
Lines closer than 0.1° are merged.

Atomic structure:
Cell: 12.0264 12.0264 11.6005 Å, 90.00 90.00 120.00°
Space group R-3m (No. 166, hexagonal axes)
Symmetry-distinct sites (fractional):
La 0.0000 0.0000 0.2468 [6 per cell]
La 0.0015 0.5008 0.1690 [18 per cell]
Ce 0.0000 0.0000 0.0000 [3 per cell]
Y 0.0000 0.0000 0.5000 [3 per cell]
Y 0.0000 0.5000 0.5000 [9 per cell]

The 6 most intense peaks (10 to 90 degrees two-theta), low angle first:
hkl	2theta	d_spacing	I_rel
0 0 3	23.00	3.868	311
1 1 3	27.42	3.252	151
2 2 0	29.71	3.007	1000
2 2 3	37.91	2.374	464
6 0 0	52.73	1.736	198
2 2 6	56.58	1.627	158

4.
Starting from the GGA-PBE geometry in Alexandria, the powder XRD pattern of La10CeY6 was computed for copper Kα.
Lines closer than 0.1° are merged.

Atomic structure:
Cell: 10.0157 10.0157 7.0510 Å, 90.00 90.00 120.00°
Space group P-31m (No. 162)
Symmetry-distinct sites (fractional):
La 0.0000 0.2764 0.1765 [6 per cell]
La 0.3333 0.6667 0.0000 [2 per cell]
La 0.3333 0.6667 0.5000 [2 per cell]
Ce 0.0000 0.0000 0.5000 [1 per cell]
Y 0.0000 0.3601 0.6748 [6 per cell]

The 6 most intense peaks (10 to 90 degrees two-theta), low angle first:
hkl	2theta	d_spacing	I_rel
2 1 1	30.06	2.973	187
2 -1 2	30.98	2.887	1000
2 2 2	44.37	2.041	154
5 -2 1	47.47	1.915	76
5 -1 2	55.05	1.668	154
1 1 4	55.24	1.663	105

5.
Starting from the GGA-PBE geometry in Alexandria, the powder XRD pattern of La7Ce2Y2 was computed for copper Kα.
Lines closer than 0.1° are merged.

Atomic structure:
Cell: 12.8239 7.0268 9.3411 Å, 90.00 115.48 90.00°
Space group C2/m (No. 12)
Symmetry-distinct sites (fractional):
La 0.0000 0.0000 0.0000 [2 per cell]
La 0.0045 0.5000 0.1834 [4 per cell]
La 0.2328 0.2208 0.8215 [8 per cell]
Ce 0.0000 0.2005 0.5000 [4 per cell]
Y 0.2338 0.0000 0.4616 [4 per cell]

The 6 most intense peaks (10 to 90 degrees two-theta), low angle first:
hkl	2theta	d_spacing	I_rel
1 1 2	28.45	3.137	375
2 2 -1	29.25	3.053	1000
4 0 0	30.90	2.894	814
0 0 3	31.84	2.811	473
4 0 -3	33.55	2.671	447
2 2 1	33.84	2.649	385

6.
Starting from the GGA-PBE geometry in Alexandria, the powder XRD pattern of La14CeY was computed for copper Kα.
Lines closer than 0.1° are merged.

Atomic structure:
Cell: 10.5000 10.4551 10.4534 Å, 90.00 90.00 90.00°
Space group Amm2 (No. 38)
Symmetry-distinct sites (fractional):
La 0.0000 0.0000 0.0000 [2 per cell]
La 0.0000 0.0000 0.4986 [2 per cell]
La 0.0000 0.2486 0.7497 [4 per cell]
La 0.2534 0.0000 0.2533 [4 per cell]
La 0.2543 0.2461 0.4995 [8 per cell]
La 0.2550 0.0000 0.7451 [4 per cell]
La 0.5000 0.2487 0.2495 [4 per cell]
Ce 0.5000 0.0000 0.4999 [2 per cell]
Y 0.5000 0.0000 0.9991 [2 per cell]

The 6 most intense peaks (10 to 90 degrees two-theta), low angle first:
hkl	2theta	d_spacing	I_rel
2 2 2	29.56	3.022	1000
4 0 0	34.16	2.625	170
0 4 0	34.31	2.614	336
4 4 0	49.20	1.852	241
6 2 2	58.34	1.582	143
2 6 2	58.54	1.577	285